(1)
For LiScAlPd, a structure optimized by DFT (GGA-PBE) gives the simulated powder diffractogram in this record (a wavelength of 1.5418 Å).

The 8 most intense peaks (2θ from 5° to 70°), in order of rising 2θ:
2θ (°), d [Å], Rel. int., hkl
24.22, 3.674, 83, 1 0 1
28.04, 3.182, 6, 1 1 0
40.08, 2.250, 100, 2 0 0
47.38, 1.919, 39, 2 1 1
49.62, 1.837, 2, 2 0 2
57.97, 1.591, 16, 2 2 0
63.75, 1.460, 16, 3 0 1
65.61, 1.423, 3, 3 1 0

Unit cell a=4.4998 b=4.4998 c=6.3644 alpha=90.00 beta=90.00 gamma=90.00
Space group P-4m2 (No. 115)
Inequivalent atoms, fractional coordinates:
Li 0.0000 0.0000 0.0000 x1
Li 0.5000 0.5000 0.5000 x1
Sc 0.0000 0.5000 0.2505 x2
Al 0.0000 0.5000 0.7495 x2
Pd 0.0000 0.0000 0.5000 x1
Pd 0.5000 0.5000 0.0000 x1


(2)
For Sm4BICl4, a structure optimized by DFT (GGA-PBE) gives the simulated powder diffractogram in this record (a wavelength of 1.5418 Å).

The 10 most intense peaks (2θ from 5° to 70°), in order of rising 2θ:
2θ (°), d [Å], Rel. int., hkl
10.35, 8.544, 63, 2 0 0
10.49, 8.431, 57, 0 0 1
16.59, 5.344, 24, 2 0 1
20.72, 4.288, 25, 4 0 -1
27.69, 3.222, 28, 3 1 -1
30.28, 2.952, 100, 1 1 -2
30.73, 2.909, 34, 3 1 1
31.41, 2.848, 45, 6 0 0
43.95, 2.060, 29, 7 1 -2
44.43, 2.039, 30, 5 1 2

Unit cell a=17.7040 b=4.0047 c=8.7349 alpha=90.00 beta=105.15 gamma=90.00
Space group C2/m (No. 12)
Inequivalent atoms, fractional coordinates:
Sm 0.9996 0.0000 0.2013 x4
Sm 0.1493 0.5000 0.0840 x4
B 0.0000 0.5000 0.0000 x2
I 0.0000 0.5000 0.5000 x2
Cl 0.1662 0.0000 0.3142 x4
Cl 0.1701 0.0000 0.8649 x4


(3)
For Dy2Sc2CBr3Cl2, a structure optimized by DFT (GGA-PBE) gives the simulated powder diffractogram in this record (a wavelength of 1.5418 Å).

The 10 most intense peaks (2θ from 5° to 70°), in order of rising 2θ:
2θ (°), d [Å], Rel. int., hkl
10.72, 8.253, 100, 2 0 0
24.78, 3.593, 32, 1 1 0
32.55, 2.751, 48, 6 0 0
32.65, 2.743, 18, 3 1 1
32.83, 2.728, 91, 1 1 -2
34.73, 2.583, 17, 4 0 2
36.56, 2.458, 25, 5 1 0
44.64, 2.030, 19, 2 0 -4
46.60, 1.949, 26, 5 1 2
47.21, 1.925, 28, 7 1 -2

Unit cell a=16.9293 b=3.6816 c=8.1251 alpha=90.00 beta=102.84 gamma=90.00
Space group C2/m (No. 12)
Inequivalent atoms, fractional coordinates:
Dy 0.0021 0.0000 0.2989 x4
Sc 0.1356 0.5000 0.5666 x4
C 0.0000 0.5000 0.5000 x2
Br 0.0000 0.5000 0.0000 x2
Br 0.1706 0.0000 0.8185 x4
Cl 0.1699 0.0000 0.3638 x4


(4)
For TbDy3Pb2N2, a structure optimized by DFT (GGA-PBE) gives the simulated powder diffractogram in this record (a wavelength of 1.5418 Å).

The 10 most intense peaks (2θ from 5° to 70°), in order of rising 2θ:
2θ (°), d [Å], Rel. int., hkl
29.03, 3.076, 22, 1 0 0
29.60, 3.018, 1, 1 0 1
33.84, 2.649, 100, 1 0 3
34.39, 2.608, 20, 0 0 6
45.61, 1.989, 16, 0 1 6
51.46, 1.776, 22, 1 1 0
60.18, 1.538, 3, 2 0 0
61.24, 1.514, 18, 1 0 9
63.02, 1.475, 17, 2 0 3
63.37, 1.468, 21, 1 1 6

Unit cell a=3.5513 b=3.5513 c=15.6475 alpha=90.00 beta=90.00 gamma=120.00
Space group P3m1 (No. 156)
Inequivalent atoms, fractional coordinates:
Tb 0.0000 0.0000 0.0000 x1
Dy 0.0000 0.0000 0.3332 x1
Dy 0.3333 0.6667 0.4995 x1
Dy 0.3333 0.6667 0.8330 x1
Pb 0.0000 0.0000 0.6662 x1
Pb 0.3333 0.6667 0.1669 x1
N 0.6667 0.3333 0.4163 x1
N 0.6667 0.3333 0.9152 x1


(5)
For Tb3Zn2Pt3, a structure optimized by DFT (GGA-PBE) gives the simulated powder diffractogram in this record (a wavelength of 1.5418 Å).

The 10 most intense peaks (2θ from 5° to 70°), in order of rising 2θ:
2θ (°), d [Å], Rel. int., hkl
6.36, 13.905, 15, 0 0 1
12.73, 6.952, 64, 0 0 2
25.63, 3.476, 52, 0 0 4
26.28, 3.391, 35, 1 0 2
32.60, 2.747, 61, 1 1 0
35.13, 2.555, 21, 1 1 2
41.92, 2.155, 100, 1 1 4
46.77, 1.942, 39, 2 0 0
51.62, 1.771, 15, 1 1 6
54.09, 1.695, 28, 2 0 4

Unit cell a=3.8843 b=3.8843 c=13.9047 alpha=90.00 beta=90.00 gamma=90.00
Space group P-4m2 (No. 115)
Inequivalent atoms, fractional coordinates:
Tb 0.0000 0.0000 0.0000 x1
Tb 0.0000 0.0000 0.2315 x2
Zn 0.0000 0.5000 0.6193 x2
Pt 0.0000 0.0000 0.5000 x1
Pt 0.5000 0.5000 0.0000 x1
Pt 0.5000 0.5000 0.5000 x1


(6)
For Mg2ZrScZn2Pt2, a structure optimized by DFT (GGA-PBE) gives the simulated powder diffractogram in this record (a wavelength of 1.5418 Å).

The 10 most intense peaks (2θ from 5° to 70°), in order of rising 2θ:
2θ (°), d [Å], Rel. int., hkl
23.95, 3.716, 48, 1 0 1
27.52, 3.241, 14, 0 0 2
27.82, 3.207, 26, 1 1 0
39.53, 2.280, 100, 1 1 2
39.75, 2.268, 49, 2 0 0
46.56, 1.951, 9, 1 0 3
46.94, 1.936, 17, 2 1 1
49.03, 1.858, 11, 2 0 2
56.81, 1.620, 9, 0 0 4
57.47, 1.604, 16, 2 2 0

Unit cell a=4.5357 b=4.5357 c=6.4819 alpha=90.00 beta=90.00 gamma=90.00
Space group P-4m2 (No. 115)
Inequivalent atoms, fractional coordinates:
Mg 0.0000 0.5000 0.2442 x2
Zr 0.5000 0.5000 0.5000 x1
Sc 0.0000 0.0000 0.0000 x1
Zn 0.0000 0.5000 0.7523 x2
Pt 0.0000 0.0000 0.5000 x1
Pt 0.5000 0.5000 0.0000 x1


(7)
For Tm2Fe17, a structure optimized by DFT (GGA-PBE) gives the simulated powder diffractogram in this record (a wavelength of 1.5418 Å).

The 10 most intense peaks (2θ from 5° to 70°), in order of rising 2θ:
2θ (°), d [Å], Rel. int., hkl
30.58, 2.924, 42, 1 1 2
37.43, 2.402, 43, 3 0 0
41.41, 2.181, 27, 2 0 3
43.50, 2.081, 55, 2 2 0
43.64, 2.074, 100, 3 0 2
44.08, 2.054, 30, 0 0 4
47.05, 1.932, 14, 2 1 3
49.08, 1.856, 14, 2 2 2
63.32, 1.469, 14, 4 1 2
63.66, 1.462, 17, 2 2 4

Unit cell a=8.3221 b=8.3221 c=8.2176 alpha=90.00 beta=90.00 gamma=120.00
Space group P6_3/mmc (No. 194)
Inequivalent atoms, fractional coordinates:
Tm 0.0000 0.0000 0.2500 x2
Tm 0.3333 0.6667 0.2500 x2
Fe 0.0000 0.5000 0.0000 x6
Fe 0.0341 0.3633 0.7500 x12
Fe 0.1655 0.3309 0.0138 x12
Fe 0.3333 0.6667 0.6076 x4


(8)
For Er5Co2, a structure optimized by DFT (GGA-PBE) gives the simulated powder diffractogram in this record (a wavelength of 1.5418 Å).

The 10 most intense peaks (2θ from 5° to 70°), in order of rising 2θ:
2θ (°), d [Å], Rel. int., hkl
29.92, 2.987, 57, 2 0 2
31.75, 2.818, 62, 0 2 1
32.15, 2.784, 100, 5 1 0
32.84, 2.727, 26, 4 0 -2
33.06, 2.710, 38, 3 1 -2
34.37, 2.609, 28, 2 2 1
36.14, 2.486, 25, 5 1 1
36.28, 2.476, 32, 3 1 2
37.10, 2.424, 36, 4 0 2
58.88, 1.569, 26, 6 2 -3

Unit cell a=15.6924 b=6.1929 c=6.8492 alpha=90.00 beta=96.81 gamma=90.00
Space group C2/c (No. 15)
Inequivalent atoms, fractional coordinates:
Er 0.0000 0.0696 0.2500 x4
Er 0.0949 0.3934 0.9133 x8
Er 0.2155 0.0684 0.3158 x8
Co 0.1112 0.2113 0.5729 x8


(9)
For Lu2Cd2O5, a structure optimized by DFT (GGA-PBE) gives the simulated powder diffractogram in this record (a wavelength of 1.5418 Å).

The 10 most intense peaks (2θ from 5° to 70°), in order of rising 2θ:
2θ (°), d [Å], Rel. int., hkl
21.83, 4.071, 5, 1 0 0
21.94, 4.051, 3, 0 0 2
31.12, 2.874, 100, 1 0 2
44.51, 2.035, 18, 2 0 0
44.74, 2.026, 7, 0 0 4
50.13, 1.820, 2, 2 0 2
55.32, 1.661, 27, 2 1 2
55.47, 1.657, 15, 1 1 4
64.77, 1.439, 5, 2 2 0
64.95, 1.436, 9, 2 0 4

Unit cell a=4.0708 b=4.0708 c=8.1021 alpha=90.00 beta=90.00 gamma=90.00
Space group P4/mmm (No. 123)
Inequivalent atoms, fractional coordinates:
Lu 0.0000 0.0000 0.2422 x2
Cd 0.5000 0.5000 0.0000 x1
Cd 0.5000 0.5000 0.5000 x1
O 0.0000 0.0000 0.5000 x1
O 0.0000 0.5000 0.1754 x4


(10)
For AlMoW2, a structure optimized by DFT (GGA-PBE) gives the simulated powder diffractogram in this record (a wavelength of 1.5418 Å).

The 10 most intense peaks (2θ from 5° to 70°), in order of rising 2θ:
2θ (°), d [Å], Rel. int., hkl
17.68, 5.016, 20, 1 0 0
25.27, 3.524, 60, 1 0 1
36.28, 2.476, 22, 0 0 2
40.20, 2.243, 59, 2 1 0
40.31, 2.237, 100, 2 0 1
40.63, 2.220, 58, 1 0 2
44.33, 2.043, 51, 2 1 1
64.65, 1.442, 36, 2 2 2
67.31, 1.391, 13, 3 2 0
67.98, 1.379, 22, 2 0 3

Unit cell a=5.0158 b=5.0158 c=4.9525 alpha=90.00 beta=90.00 gamma=90.00
Space group P4_2/mmc (No. 131)
Inequivalent atoms, fractional coordinates:
Al 0.0000 0.5000 0.0000 x2
Mo 0.0000 0.0000 0.2500 x2
W 0.2503 0.5000 0.5000 x4


(11)
For La2GdTa2O6, a structure optimized by DFT (GGA-PBE) gives the simulated powder diffractogram in this record (a wavelength of 1.5418 Å).

The 10 most intense peaks (2θ from 5° to 70°), in order of rising 2θ:
2θ (°), d [Å], Rel. int., hkl
8.98, 9.852, 69, 0 0 2
26.08, 3.416, 21, 1 0 3
31.64, 2.828, 100, 1 1 0
31.88, 2.807, 99, 1 0 5
39.13, 2.302, 47, 1 0 7
45.35, 2.000, 51, 2 0 0
49.04, 1.857, 23, 1 1 8
56.50, 1.629, 40, 2 1 5
61.41, 1.510, 25, 2 1 7
66.07, 1.414, 16, 2 2 0

Unit cell a=3.9997 b=3.9997 c=19.7046 alpha=90.00 beta=90.00 gamma=90.00
Space group I4/mmm (No. 139)
Inequivalent atoms, fractional coordinates:
La 0.0000 0.0000 0.1827 x4
Gd 0.0000 0.0000 0.0000 x2
Ta 0.0000 0.0000 0.4333 x4
O 0.0000 0.0000 0.2948 x4
O 0.0000 0.5000 0.0911 x8


(12)
For Sm4C2I3Br2, a structure optimized by DFT (GGA-PBE) gives the simulated powder diffractogram in this record (a wavelength of 1.5418 Å).

The 10 most intense peaks (2θ from 5° to 70°), in order of rising 2θ:
2θ (°), d [Å], Rel. int., hkl
27.30, 3.267, 33, 3 1 -1
28.20, 3.164, 69, 6 0 0
29.89, 2.990, 32, 3 1 1
30.65, 2.916, 100, 1 1 -2
33.18, 2.700, 18, 4 0 -3
35.74, 2.512, 18, 2 0 3
41.83, 2.160, 37, 7 1 -2
42.45, 2.129, 38, 5 1 2
45.71, 1.985, 20, 0 2 0
54.58, 1.681, 22, 6 2 0

Unit cell a=19.5561 b=3.9697 c=8.5997 alpha=90.00 beta=103.89 gamma=90.00
Space group C2/m (No. 12)
Inequivalent atoms, fractional coordinates:
Sm 0.0014 0.0000 0.3109 x4
Sm 0.1545 0.5000 0.5871 x4
C 0.0370 0.5000 0.5206 x4
I 0.0000 0.5000 0.0000 x2
I 0.1637 0.0000 0.8680 x4
Br 0.1685 0.0000 0.3390 x4